Record 1
MgFe2P2O8: theoretical powder X-ray diffraction pattern (a wavelength of 1.5418 Å), based on a structure optimized by DFT (PBE+U).
Lines closer than 0.1° are merged.

Atomic structure:
Lattice parameters (Å, degrees): 8.8798 8.8798 16.5476 118.56 118.56 33.57
Atoms (fractional coordinates):
Mg  0.0592  0.6416  0.8764
Mg  0.3584  0.9408  0.6236
Mg  0.6416  0.0592  0.3764
Mg  0.9408  0.3584  0.1236
Fe  0.0000  0.5000  0.0000
Fe  0.0748  0.9252  0.7500
Fe  0.1058  0.7038  0.5340
Fe  0.2962  0.8942  0.9660
Fe  0.5000  0.0000  0.5000
Fe  0.7038  0.1058  0.0340
Fe  0.8942  0.2962  0.4660
Fe  0.9252  0.0748  0.2500
P  0.0126  0.5635  0.6442
P  0.2781  0.6799  0.3888
P  0.3201  0.7219  0.1112
P  0.4365  0.9874  0.8558
P  0.5635  0.0126  0.1442
P  0.6799  0.2781  0.8888
P  0.7219  0.3201  0.6112
P  0.9874  0.4365  0.3558
O  0.0683  0.5288  0.7388
O  0.0734  0.7607  0.4194
O  0.1045  0.6572  0.6441
O  0.1466  0.6910  0.0411
O  0.1580  0.7373  0.2898
O  0.1747  0.2849  0.5725
O  0.2251  0.3002  0.9005
O  0.2393  0.9266  0.0806
O  0.2627  0.8420  0.2102
O  0.2849  0.1747  0.0725
O  0.3002  0.2251  0.4005
O  0.3090  0.8534  0.4589
O  0.3428  0.8955  0.8559
O  0.3679  0.5705  0.8953
O  0.4295  0.6321  0.6047
O  0.4712  0.9317  0.7612
O  0.5288  0.0683  0.2388
O  0.5705  0.3679  0.3953
O  0.6321  0.4295  0.1047
O  0.6572  0.1045  0.1441
O  0.6910  0.1466  0.5411
O  0.6998  0.7749  0.5995
O  0.7151  0.8253  0.9275
O  0.7373  0.1580  0.7898
O  0.7607  0.0734  0.9194
O  0.7749  0.6998  0.0995
O  0.8253  0.7151  0.4275
O  0.8420  0.2627  0.7102
O  0.8534  0.3090  0.9589
O  0.8955  0.3428  0.3559
O  0.9266  0.2393  0.5806
O  0.9317  0.4712  0.2612

Most intense lines, 10 to 90 degrees two-theta, sorted by position:
2theta	d/Å	I (rel.)
12.35	7.168	68.9
18.33	4.841	40.6
28.01	3.186	100.0
31.75	2.818	68.4
32.30	2.772	31.4
33.14	2.704	32.1
34.99	2.564	42.8
36.60	2.455	47.6
44.59	2.032	21.0
58.59	1.575	23.7


Record 2
Gd2W2O9: theoretical powder X-ray diffraction pattern (a wavelength of 1.5418 Å), based on a structure optimized by DFT (PBE+U).
Lines closer than 0.1° are merged.

Atomic structure:
Lattice parameters (Å, degrees): 23.8369 5.4039 5.5079 90.00 90.00 90.00
Atoms (fractional coordinates):
Gd  0.2011  0.2274  0.1217
Gd  0.2011  0.7726  0.6217
Gd  0.2989  0.2726  0.6217
Gd  0.2989  0.7274  0.1217
Gd  0.7011  0.2726  0.8783
Gd  0.7011  0.7274  0.3783
Gd  0.7989  0.2274  0.3783
Gd  0.7989  0.7726  0.8783
W  0.0779  0.2511  0.6754
W  0.0779  0.7489  0.1754
W  0.4221  0.2489  0.1754
W  0.4221  0.7511  0.6754
W  0.5779  0.2489  0.3246
W  0.5779  0.7511  0.8246
W  0.9221  0.2511  0.8246
W  0.9221  0.7489  0.3246
O  0.0000  0.3351  0.7500
O  0.0000  0.6649  0.2500
O  0.0608  0.0475  0.4294
O  0.0608  0.9525  0.9294
O  0.0965  0.4621  0.0109
O  0.0965  0.5379  0.5109
O  0.1513  0.1431  0.7243
O  0.1513  0.8569  0.2243
O  0.2420  0.4952  0.3831
O  0.2420  0.5048  0.8831
O  0.2580  0.0048  0.8831
O  0.2580  0.9952  0.3831
O  0.3487  0.3569  0.2243
O  0.3487  0.6431  0.7243
O  0.4035  0.0379  0.5109
O  0.4035  0.9621  0.0109
O  0.4392  0.4525  0.9294
O  0.4392  0.5475  0.4294
O  0.5000  0.1649  0.2500
O  0.5000  0.8351  0.7500
O  0.5608  0.4525  0.5706
O  0.5608  0.5475  0.0706
O  0.5965  0.0379  0.9891
O  0.5965  0.9621  0.4891
O  0.6513  0.3569  0.2757
O  0.6513  0.6431  0.7757
O  0.7420  0.0048  0.6169
O  0.7420  0.9952  0.1169
O  0.7580  0.4952  0.1169
O  0.7580  0.5048  0.6169
O  0.8487  0.1431  0.7757
O  0.8487  0.8569  0.2757
O  0.9035  0.4621  0.4891
O  0.9035  0.5379  0.9891
O  0.9392  0.0475  0.0706
O  0.9392  0.9525  0.5706

Most intense lines, 10 to 90 degrees two-theta, sorted by position:
2theta	d/Å	I (rel.)
22.38	3.973	25.4
23.36	3.808	57.4
25.67	3.470	26.7
27.55	3.238	81.3
29.79	2.999	100.0
29.99	2.980	27.8
32.73	2.736	32.0
33.16	2.702	32.8
47.28	1.922	30.1
59.28	1.559	26.9


Record 3
Na3CoC2ClO6: theoretical powder X-ray diffraction pattern (a wavelength of 1.5418 Å), based on a structure optimized by DFT (PBE+U).
Lines closer than 0.1° are merged.

Atomic structure:
Lattice parameters (Å, degrees): 9.9947 9.9947 9.9947 60.00 60.00 60.00
Atoms (fractional coordinates):
Na  0.0976  0.0976  0.6524
Na  0.0976  0.6524  0.0976
Na  0.0976  0.6524  0.6524
Na  0.3476  0.3476  0.9024
Na  0.3476  0.9024  0.3476
Na  0.3476  0.9024  0.9024
Na  0.6524  0.0976  0.0976
Na  0.6524  0.0976  0.6524
Na  0.6524  0.6524  0.0976
Na  0.9024  0.3476  0.3476
Na  0.9024  0.3476  0.9024
Na  0.9024  0.9024  0.3476
Co  0.0000  0.5000  0.5000
Co  0.5000  0.0000  0.5000
Co  0.5000  0.5000  0.0000
Co  0.5000  0.5000  0.5000
C  0.2825  0.2825  0.2825
C  0.2825  0.2825  0.6525
C  0.2825  0.6525  0.2825
C  0.3475  0.7175  0.7175
C  0.6525  0.2825  0.2825
C  0.7175  0.3475  0.7175
C  0.7175  0.7175  0.3475
C  0.7175  0.7175  0.7175
Cl  0.0000  0.0000  0.0000
Cl  0.0000  0.0000  0.5000
Cl  0.0000  0.5000  0.0000
Cl  0.5000  0.0000  0.0000
O  0.1393  0.3117  0.6552
O  0.1393  0.3938  0.3117
O  0.1393  0.6552  0.3938
O  0.3117  0.1393  0.3938
O  0.3117  0.3938  0.6552
O  0.3117  0.6552  0.1393
O  0.3448  0.6062  0.8607
O  0.3448  0.6883  0.6062
O  0.3448  0.8607  0.6883
O  0.3938  0.1393  0.6552
O  0.3938  0.3117  0.1393
O  0.3938  0.6552  0.3117
O  0.6062  0.3448  0.6883
O  0.6062  0.6883  0.8607
O  0.6062  0.8607  0.3448
O  0.6552  0.1393  0.3117
O  0.6552  0.3117  0.3938
O  0.6552  0.3938  0.1393
O  0.6883  0.3448  0.8607
O  0.6883  0.6062  0.3448
O  0.6883  0.8607  0.6062
O  0.8607  0.3448  0.6062
O  0.8607  0.6062  0.6883
O  0.8607  0.6883  0.3448

Most intense lines, 10 to 90 degrees two-theta, sorted by position:
2theta	d/Å	I (rel.)
10.84	8.161	94.5
17.75	4.997	15.5
21.78	4.080	32.9
25.20	3.534	38.1
32.93	2.720	51.7
35.94	2.499	100.0
42.42	2.131	59.1
51.74	1.767	28.2
56.78	1.621	32.4
64.61	1.443	23.7


Record 4
Mn3NiO10: theoretical powder X-ray diffraction pattern (a wavelength of 1.5418 Å), based on a structure optimized by DFT (PBE+U).
Lines closer than 0.1° are merged.

Atomic structure:
Lattice parameters (Å, degrees): 8.1643 8.1643 8.1643 55.65 55.65 55.65
Atoms (fractional coordinates):
Mn  0.0767  0.7830  0.6420
Mn  0.2170  0.3580  0.9233
Mn  0.3580  0.9233  0.2170
Mn  0.6420  0.0767  0.7830
Mn  0.7830  0.6420  0.0767
Mn  0.9233  0.2170  0.3580
Ni  0.4045  0.4045  0.4045
Ni  0.5955  0.5955  0.5955
O  0.0731  0.6409  0.9267
O  0.0733  0.9269  0.3591
O  0.1964  0.5209  0.3045
O  0.2051  0.4993  0.6446
O  0.2116  0.2116  0.2116
O  0.3045  0.1964  0.5209
O  0.3554  0.7949  0.5007
O  0.3591  0.0733  0.9269
O  0.4791  0.6955  0.8036
O  0.4993  0.6446  0.2051
O  0.5007  0.3554  0.7949
O  0.5209  0.3045  0.1964
O  0.6409  0.9267  0.0731
O  0.6446  0.2051  0.4993
O  0.6955  0.8036  0.4791
O  0.7884  0.7884  0.7884
O  0.7949  0.5007  0.3554
O  0.8036  0.4791  0.6955
O  0.9267  0.0731  0.6409
O  0.9269  0.3591  0.0733

Most intense lines, 10 to 90 degrees two-theta, sorted by position:
2theta	d/Å	I (rel.)
12.87	6.877	100.0
14.09	6.287	14.5
21.87	4.064	26.3
25.46	3.499	12.9
36.27	2.477	18.5
37.07	2.425	10.4
40.15	2.246	29.6
47.76	1.904	14.5
58.01	1.590	16.7
64.72	1.440	14.1


Record 5
Ba5Y2CuMo2O15: theoretical powder X-ray diffraction pattern (a wavelength of 1.5418 Å), based on a structure optimized by DFT (PBE+U).
Lines closer than 0.1° are merged.

Atomic structure:
Lattice parameters (Å, degrees): 15.8963 15.8963 15.8963 158.17 149.07 38.18
Atoms (fractional coordinates):
Ba  0.0520  0.7974  0.2546
Ba  0.1483  0.3992  0.7491
Ba  0.2390  0.0000  0.2390
Ba  0.3499  0.6008  0.7491
Ba  0.4572  0.2026  0.2546
Ba  0.5428  0.7974  0.7454
Ba  0.6501  0.3992  0.2509
Ba  0.7610  0.0000  0.7610
Ba  0.8517  0.6008  0.2509
Ba  0.9480  0.2026  0.7454
Y  0.0000  0.5000  0.5000
Y  0.1026  0.1026  0.0000
Y  0.5000  0.5000  0.0000
Y  0.8974  0.8974  0.0000
Cu  0.3003  0.3003  0.0000
Cu  0.6997  0.6997  0.0000
Mo  0.2025  0.7025  0.5000
Mo  0.3974  0.8974  0.5000
Mo  0.6026  0.1026  0.5000
Mo  0.7975  0.2975  0.5000
O  0.0330  0.2990  0.7341
O  0.0531  0.3013  0.2482
O  0.0531  0.8049  0.7518
O  0.1566  0.4283  0.2717
O  0.1566  0.8849  0.7283
O  0.1673  0.8974  0.2699
O  0.2479  0.5152  0.2673
O  0.2479  0.9807  0.7327
O  0.2543  0.5000  0.7543
O  0.3527  0.0860  0.7333
O  0.3527  0.6193  0.2667
O  0.3726  0.1026  0.2699
O  0.4351  0.7010  0.7341
O  0.4449  0.1731  0.7282
O  0.4449  0.7168  0.2718
O  0.5551  0.2832  0.7282
O  0.5551  0.8269  0.2718
O  0.5649  0.2990  0.2659
O  0.6274  0.8974  0.7301
O  0.6473  0.3807  0.7333
O  0.6473  0.9140  0.2667
O  0.7457  0.5000  0.2457
O  0.7521  0.0193  0.2673
O  0.7521  0.4848  0.7327
O  0.8327  0.1026  0.7301
O  0.8434  0.1151  0.2717
O  0.8434  0.5717  0.7283
O  0.9469  0.1951  0.2482
O  0.9469  0.6987  0.7518
O  0.9670  0.7010  0.2659

Most intense lines, 10 to 90 degrees two-theta, sorted by position:
2theta	d/Å	I (rel.)
29.74	3.004	100.0
36.64	2.453	7.4
42.51	2.127	20.9
42.67	2.119	10.4
52.75	1.735	25.9
52.85	1.732	13.0
61.79	1.501	15.6
69.96	1.345	11.6
85.50	1.136	6.7
85.59	1.135	6.7


Record 6
KSrGdWO6: theoretical powder X-ray diffraction pattern (a wavelength of 1.5418 Å), based on a structure optimized by DFT (PBE+U).
Lines closer than 0.1° are merged.

Atomic structure:
Lattice parameters (Å, degrees): 5.9712 5.9712 5.9712 60.00 60.00 60.00
Atoms (fractional coordinates):
K  0.0000  0.0000  0.0000
Sr  0.5000  0.5000  0.5000
Gd  0.2500  0.2500  0.2500
W  0.7500  0.7500  0.7500
O  0.5187  0.5187  0.9813
O  0.5187  0.9813  0.5187
O  0.5187  0.9813  0.9813
O  0.9813  0.5187  0.5187
O  0.9813  0.5187  0.9813
O  0.9813  0.9813  0.5187

Most intense lines, 10 to 90 degrees two-theta, sorted by position:
2theta	d/Å	I (rel.)
21.04	4.222	37.1
29.93	2.986	100.0
42.84	2.111	30.9
48.19	1.888	16.3
53.13	1.724	40.2
62.19	1.493	19.0
66.43	1.407	7.7
70.53	1.335	18.1
78.47	1.219	6.2
86.18	1.128	21.6


Record 7
Li2FePCO7: theoretical powder X-ray diffraction pattern (a wavelength of 1.5418 Å), based on a structure optimized by DFT (PBE+U).
Lines closer than 0.1° are merged.

Atomic structure:
Lattice parameters (Å, degrees): 8.3470 6.4906 10.1944 90.00 95.00 90.00
Atoms (fractional coordinates):
Li  0.0976  0.2491  0.3689
Li  0.0976  0.2509  0.8689
Li  0.2783  0.0357  0.6225
Li  0.2783  0.4643  0.1225
Li  0.7217  0.5357  0.8775
Li  0.7217  0.9643  0.3775
Li  0.9024  0.7491  0.1311
Li  0.9024  0.7509  0.6311
Fe  0.3292  0.7493  0.8506
Fe  0.3292  0.7507  0.3506
Fe  0.6708  0.2493  0.6494
Fe  0.6708  0.2507  0.1494
P  0.4201  0.2420  0.3884
P  0.4201  0.2580  0.8884
P  0.5799  0.7420  0.1116
P  0.5799  0.7580  0.6116
C  0.0397  0.7410  0.8992
C  0.0397  0.7590  0.3992
C  0.9603  0.2410  0.6008
C  0.9603  0.2590  0.1008
O  0.0757  0.7395  0.2767
O  0.0757  0.7605  0.7767
O  0.1019  0.2186  0.5674
O  0.1019  0.2814  0.0674
O  0.1640  0.7449  0.9875
O  0.1640  0.7551  0.4875
O  0.3049  0.0586  0.3532
O  0.3049  0.4414  0.8532
O  0.3169  0.0678  0.8419
O  0.3169  0.4322  0.3419
O  0.4215  0.7237  0.1781
O  0.4215  0.7763  0.6781
O  0.4618  0.2408  0.5405
O  0.4618  0.2592  0.0405
O  0.5382  0.7408  0.9595
O  0.5382  0.7592  0.4595
O  0.5785  0.2237  0.3219
O  0.5785  0.2763  0.8219
O  0.6831  0.5678  0.6581
O  0.6831  0.9322  0.1581
O  0.6951  0.5586  0.1468
O  0.6951  0.9414  0.6468
O  0.8360  0.2449  0.5125
O  0.8360  0.2551  0.0125
O  0.8981  0.7186  0.9326
O  0.8981  0.7814  0.4326
O  0.9243  0.2395  0.2233
O  0.9243  0.2605  0.7233

Most intense lines, 10 to 90 degrees two-theta, sorted by position:
2theta	d/Å	I (rel.)
10.64	8.315	81.7
17.33	5.116	36.5
19.68	4.512	50.0
21.28	4.175	65.1
22.23	3.999	16.8
25.37	3.511	26.9
26.50	3.364	34.5
27.48	3.245	100.0
36.08	2.490	21.1
40.86	2.208	20.9